[1]
Diffraction record for CsTl3O5. The powder diffraction line list is computed, not measured: it uses a cell relaxed with GGA-PBE and Cu Kα (weighted mean of Kα1 and Kα2).

The 12 most intense peaks (2θ = 5–70°), in order of rising 2θ:
two_theta	I/Imax	hkl
9.87	84	1 0 1
26.15	72	3 0 1
26.76	41	1 0 5
28.39	21	1 1 2
30.49	31	0 0 6
30.64	100	1 1 3
32.13	69	2 1 2
34.14	18	2 1 3
36.80	30	2 1 4
39.39	17	3 1 3
51.38	20	0 2 0
53.29	38	5 1 3

Crystal structure
```
data_CsTl3O5
_chemical_formula_sum 'Cs4 Tl12 O20'
_space_group_name_H-M_alt 'P n m a'
_space_group_IT_number 62
_cell_length_a 10.4196
_cell_length_b 3.5569
_cell_length_c 17.5782
_cell_angle_alpha 90.00
_cell_angle_beta 90.00
_cell_angle_gamma 90.00
loop_
_space_group_symop_operation_xyz
'x,y,z'
'-x,-y,-z'
'-x+1/2,-y,z+1/2'
'x+1/2,y,-z+1/2'
'x+1/2,-y+1/2,-z+1/2'
'-x+1/2,y+1/2,z+1/2'
'-x,y+1/2,-z'
'x,-y+1/2,z'
loop_
_atom_site_label
_atom_site_type_symbol
_atom_site_fract_x
_atom_site_fract_y
_atom_site_fract_z
Cs1 Cs 0.0028 0.2500 0.1194
Tl1 Tl 0.1414 0.7500 0.3450
Tl2 Tl 0.1458 0.2500 0.5185
Tl3 Tl 0.1494 0.7500 0.6894
O1 O 0.0110 0.7500 0.5761
O2 O 0.0238 0.2500 0.7315
O3 O 0.2414 0.7500 0.4574
O4 O 0.2463 0.7500 0.1283
O5 O 0.2482 0.2500 0.3016
```



[2]
Diffraction record for Cs8Tl8O. The powder diffraction line list is computed, not measured: it uses a cell relaxed with GGA-PBE and Cu Kα (weighted mean of Kα1 and Kα2).

The 12 most intense peaks (2θ = 5–70°), in order of rising 2θ:
two_theta	I/Imax	hkl
8.09	31	0 0 3
11.45	76	1 0 1
12.37	67	0 1 2
24.88	78	0 2 4
25.34	100	1 1 6
26.21	58	2 0 5
30.22	72	3 -2 2
31.35	40	2 0 8
31.70	72	3 -1 4
32.79	60	0 0 12
37.09	31	1 2 8
46.77	42	2 2 9

Crystal structure
```
data_Cs8Tl8O
_chemical_formula_sum 'Cs24 Tl24 O3'
_space_group_name_H-M_alt 'R -3'
_space_group_IT_number 148
_space_group_name_Hall '-R 3'
_cell_length_a 9.1867
_cell_length_b 9.1867
_cell_length_c 32.7669
_cell_angle_alpha 90.00
_cell_angle_beta 90.00
_cell_angle_gamma 120.00
loop_
_atom_site_label
_atom_site_type_symbol
_atom_site_fract_x
_atom_site_fract_y
_atom_site_fract_z
Cs1 Cs 0.0000 0.0000 0.1714
Cs2 Cs 0.0299 0.4497 0.6182
Tl1 Tl 0.0000 0.0000 0.3808
Tl2 Tl 0.0023 0.7915 0.5396
O1 O 0.0000 0.0000 0.0000
```



[3]
Diffraction record for Cs4Tl2O. The powder diffraction line list is computed, not measured: it uses a cell relaxed with GGA-PBE and Cu Kα (weighted mean of Kα1 and Kα2).

The 12 most intense peaks (2θ = 5–70°), in order of rising 2θ:
two_theta	I/Imax	hkl
9.24	17	1 0 1
11.81	10	0 1 2
14.26	12	1 1 0
24.82	21	3 0 0
25.58	26	0 0 6
27.98	100	3 0 3
35.94	17	0 3 6
40.54	14	4 1 3
43.71	15	3 3 0
46.61	19	3 0 9
51.33	14	3 3 6
52.70	9	0 6 3

Crystal structure
```
data_Cs4Tl2O
_chemical_formula_sum 'Cs36 Tl18 O9'
_space_group_name_H-M_alt 'R -3 m'
_space_group_IT_number 166
_space_group_name_Hall '-R 3 2"'
_cell_length_a 12.4260
_cell_length_b 12.4260
_cell_length_c 20.8954
_cell_angle_alpha 90.00
_cell_angle_beta 90.00
_cell_angle_gamma 120.00
loop_
_atom_site_label
_atom_site_type_symbol
_atom_site_fract_x
_atom_site_fract_y
_atom_site_fract_z
Cs1 Cs 0.1008 0.2017 0.4142
Cs2 Cs 0.1098 0.2196 0.7576
Tl1 Tl 0.0883 0.1765 0.0638
O1 O 0.0000 0.0000 0.3198
O2 O 0.0000 0.0000 0.5000
```



[4]
Diffraction record for CsTmO2. The powder diffraction line list is computed, not measured: it uses a cell relaxed with GGA-PBE and Cu Kα (weighted mean of Kα1 and Kα2).

The 12 most intense peaks (2θ = 5–70°), in order of rising 2θ:
two_theta	I/Imax	hkl
12.93	9	0 0 2
26.02	46	0 0 4
29.42	9	1 0 0
30.15	23	1 0 1
32.25	100	1 0 2
35.51	31	1 0 3
39.67	14	1 0 4
44.55	8	1 0 5
49.98	36	1 0 6
52.18	27	1 1 0
59.22	29	1 1 4
62.69	15	2 0 2

Crystal structure
```
data_CsTmO2
_chemical_formula_sum 'Cs2 Tm2 O4'
_space_group_name_H-M_alt 'P 63/m m c'
_space_group_IT_number 194
_space_group_name_Hall '-P 6c 2c'
_cell_length_a 3.5057
_cell_length_b 3.5057
_cell_length_c 13.6988
_cell_angle_alpha 90.00
_cell_angle_beta 90.00
_cell_angle_gamma 120.00
loop_
_atom_site_label
_atom_site_type_symbol
_atom_site_fract_x
_atom_site_fract_y
_atom_site_fract_z
Cs1 Cs 0.3333 0.6667 0.2500
Tm1 Tm 0.0000 0.0000 0.0000
O1 O 0.3333 0.6667 0.5810
```